Starting from a PBE-relaxed structure, the powder diffraction line list of SrScZn17 was calculated for Cu Kα (λ = 1.5418 Å).
No peak broadening, texture or thermal motion is included.

Structure:
Lattice parameters (Å, degrees): 6.821 6.821 6.821 82.94 82.94 82.94
Fractional positions:
Sr: 0.000 0.000 0.000
Sc: 0.330 0.330 0.330
Zn: 0.021 0.021 0.492
Zn: 0.021 0.492 0.021
Zn: 0.159 0.667 0.667
Zn: 0.315 0.315 0.814
Zn: 0.315 0.814 0.315
Zn: 0.368 0.659 0.963
Zn: 0.368 0.963 0.659
Zn: 0.492 0.021 0.021
Zn: 0.557 0.557 0.557
Zn: 0.659 0.368 0.963
Zn: 0.659 0.963 0.368
Zn: 0.667 0.159 0.667
Zn: 0.667 0.667 0.159
Zn: 0.757 0.757 0.757
Zn: 0.814 0.315 0.315
Zn: 0.963 0.368 0.659
Zn: 0.963 0.659 0.368

Most intense lines, 10 to 90 degrees two-theta, low angle first:
two_theta  I (rel.)
34.39  32.1
35.61  26.5
39.92  60.5
40.21  100.0
41.05  47.1
45.13  81.0

---

Starting from a PBE-relaxed structure, the powder diffraction line list of Sr6AsCl8 was calculated for Cu Kα (λ = 1.5418 Å).
No peak broadening, texture or thermal motion is included.

Structure:
Lattice parameters (Å, degrees): 9.208 9.208 9.208 53.42 53.42 53.42
Fractional positions:
Sr: 0.145 0.724 0.383
Sr: 0.276 0.617 0.855
Sr: 0.383 0.145 0.724
Sr: 0.617 0.855 0.276
Sr: 0.724 0.383 0.145
Sr: 0.855 0.276 0.617
As: 0.500 0.500 0.500
Cl: 0.017 0.579 0.263
Cl: 0.146 0.146 0.146
Cl: 0.263 0.017 0.579
Cl: 0.421 0.737 0.983
Cl: 0.579 0.263 0.017
Cl: 0.737 0.983 0.421
Cl: 0.854 0.854 0.854
Cl: 0.983 0.421 0.737

Most intense lines, 10 to 90 degrees two-theta, low angle first:
two_theta  I (rel.)
22.59  36.9
24.30  100.0
31.37  80.6
33.28  34.3
37.64  57.7
40.72  50.5

---

Starting from a PBE-relaxed structure, the powder diffraction line list of Dy2Ga3Ni was calculated for Cu Kα (λ = 1.5418 Å).
No peak broadening, texture or thermal motion is included.

Structure:
Lattice parameters (Å, degrees): 4.271 4.271 7.553 90.00 90.00 120.00
Fractional positions:
Dy: 0.000 0.000 0.000
Dy: 0.000 0.000 0.463
Ga: 0.333 0.667 0.774
Ga: 0.667 0.333 0.240
Ga: 0.667 0.333 0.688
Ni: 0.333 0.667 0.201

Most intense lines, 10 to 90 degrees two-theta, low angle first:
two_theta  I (rel.)
24.06  18.9
33.92  100.0
42.32  50.5
55.31  24.5
66.05  16.3
72.03  22.1